[1]
# CsPmAs2O6
Theoretical powder diffraction line list, copper Kα. Input: a crystal structure in Alexandria, relaxed with PBE.
Kinematic intensities with the Lorentz-polarization factor, no thermal factor.

Most intense lines, 10° ≤ 2θ ≤ 80°, in order of rising 2θ:
25.01°, intensity 23
25.57°, intensity 100
27.29°, intensity 75
28.77°, intensity 33
29.18°, intensity 62
31.26°, intensity 64
37.15°, intensity 22
39.14°, intensity 21
47.62°, intensity 26
54.57°, intensity 25

Atomic structure:
```
data_CsPmAs2O6
_chemical_formula_sum 'Cs2 Pm2 As4 O12'
_symmetry_space_group_name_H-M 'P 1'
_symmetry_Int_Tables_number 1
_cell_length_a 7.321
_cell_length_b 7.321
_cell_length_c 6.889
_cell_angle_alpha 102.84
_cell_angle_beta 102.84
_cell_angle_gamma 90.82
loop_
_symmetry_equiv_pos_as_xyz
'x,y,z'
loop_
_atom_site_label
_atom_site_type_symbol
_atom_site_fract_x
_atom_site_fract_y
_atom_site_fract_z
_atom_site_occupancy
Cs1 Cs 0.201 0.799 0.750 1
Cs2 Cs 0.799 0.201 0.250 1
Pm1 Pm 0.396 0.604 0.250 1
Pm2 Pm 0.604 0.396 0.750 1
As1 As 0.126 0.275 0.797 1
As2 As 0.275 0.126 0.297 1
As3 As 0.725 0.874 0.703 1
As4 As 0.874 0.725 0.203 1
O1 O 0.080 0.606 0.253 1
O2 O 0.152 0.174 0.044 1
O3 O 0.174 0.152 0.544 1
O4 O 0.320 0.448 0.890 1
O5 O 0.394 0.920 0.247 1
O6 O 0.448 0.320 0.390 1
O7 O 0.552 0.680 0.610 1
O8 O 0.606 0.080 0.753 1
O9 O 0.680 0.552 0.110 1
O10 O 0.826 0.848 0.456 1
O11 O 0.848 0.826 0.956 1
O12 O 0.920 0.394 0.747 1
```

=====

[2]
# Pr2Sm5In
Theoretical powder diffraction line list, copper Kα. Input: a crystal structure in Alexandria, relaxed with PBE.
Kinematic intensities with the Lorentz-polarization factor, no thermal factor.

Most intense lines, 10° ≤ 2θ ≤ 80°, in order of rising 2θ:
30.56°, intensity 100
34.47°, intensity 17
35.91°, intensity 33
50.63°, intensity 23
51.69°, intensity 12
59.34°, intensity 14
61.25°, intensity 27
63.62°, intensity 12
72.67°, intensity 2
76.12°, intensity 4

Atomic structure:
```
data_Pr2Sm5In
_chemical_formula_sum 'Pr4 Sm10 In2'
_symmetry_space_group_name_H-M 'P 1'
_symmetry_Int_Tables_number 1
_cell_length_a 5.002
_cell_length_b 5.002
_cell_length_c 20.815
_cell_angle_alpha 90.00
_cell_angle_beta 90.00
_cell_angle_gamma 90.00
loop_
_symmetry_equiv_pos_as_xyz
'x,y,z'
loop_
_atom_site_label
_atom_site_type_symbol
_atom_site_fract_x
_atom_site_fract_y
_atom_site_fract_z
_atom_site_occupancy
Pr1 Pr 0.000 0.000 0.246 1
Pr2 Pr 0.000 0.000 0.754 1
Pr3 Pr 0.500 0.500 0.254 1
Pr4 Pr 0.500 0.500 0.746 1
Sm1 Sm 0.000 0.000 0.000 1
Sm2 Sm 0.000 0.500 0.119 1
Sm3 Sm 0.000 0.500 0.381 1
Sm4 Sm 0.000 0.500 0.619 1
Sm5 Sm 0.000 0.500 0.881 1
Sm6 Sm 0.500 0.000 0.119 1
Sm7 Sm 0.500 0.000 0.381 1
Sm8 Sm 0.500 0.000 0.619 1
Sm9 Sm 0.500 0.000 0.881 1
Sm10 Sm 0.500 0.500 0.500 1
In1 In 0.000 0.000 0.500 1
In2 In 0.500 0.500 0.000 1
```

=====

[3]
# Rb4Ce3ThTe8
Theoretical powder diffraction line list, copper Kα. Input: a crystal structure in Alexandria, relaxed with PBE.
Kinematic intensities with the Lorentz-polarization factor, no thermal factor.

Most intense lines, 10° ≤ 2θ ≤ 80°, in order of rising 2θ:
10.30°, intensity 23
26.06°, intensity 100
32.94°, intensity 12
35.67°, intensity 35
38.64°, intensity 37
47.20°, intensity 20
53.60°, intensity 11
58.46°, intensity 12
62.58°, intensity 17
68.01°, intensity 11

Atomic structure:
```
data_Rb4Ce3ThTe8
_chemical_formula_sum 'Rb4 Ce3 Th1 Te8'
_symmetry_space_group_name_H-M 'P 1'
_symmetry_Int_Tables_number 1
_cell_length_a 10.134
_cell_length_b 10.134
_cell_length_c 10.134
_cell_angle_alpha 54.75
_cell_angle_beta 54.75
_cell_angle_gamma 54.75
loop_
_symmetry_equiv_pos_as_xyz
'x,y,z'
loop_
_atom_site_label
_atom_site_type_symbol
_atom_site_fract_x
_atom_site_fract_y
_atom_site_fract_z
_atom_site_occupancy
Rb1 Rb 0.000 0.000 0.000 1
Rb2 Rb 0.000 0.500 0.500 1
Rb3 Rb 0.500 0.000 0.500 1
Rb4 Rb 0.500 0.500 0.000 1
Ce1 Ce 0.000 0.000 0.500 1
Ce2 Ce 0.000 0.500 0.000 1
Ce3 Ce 0.500 0.000 0.000 1
Th1 Th 0.500 0.500 0.500 1
Te1 Te 0.235 0.235 0.235 1
Te2 Te 0.241 0.732 0.732 1
Te3 Te 0.268 0.268 0.759 1
Te4 Te 0.268 0.759 0.268 1
Te5 Te 0.732 0.241 0.732 1
Te6 Te 0.732 0.732 0.241 1
Te7 Te 0.759 0.268 0.268 1
Te8 Te 0.765 0.765 0.765 1
```

=====

[4]
# Rb2HF5
Theoretical powder diffraction line list, copper Kα. Input: a crystal structure in Alexandria, relaxed with PBE.
Kinematic intensities with the Lorentz-polarization factor, no thermal factor.

Most intense lines, 10° ≤ 2θ ≤ 80°, in order of rising 2θ:
19.56°, intensity 100
21.24°, intensity 55
22.08°, intensity 43
30.36°, intensity 36
31.27°, intensity 48
31.55°, intensity 32
33.14°, intensity 81
35.99°, intensity 50
39.38°, intensity 38
39.72°, intensity 37

Atomic structure:
```
data_Rb2HF5
_chemical_formula_sum 'Rb2 H1 F5'
_symmetry_space_group_name_H-M 'P 1'
_symmetry_Int_Tables_number 1
_cell_length_a 5.695
_cell_length_b 5.740
_cell_length_c 5.995
_cell_angle_alpha 87.06
_cell_angle_beta 66.26
_cell_angle_gamma 61.93
loop_
_symmetry_equiv_pos_as_xyz
'x,y,z'
loop_
_atom_site_label
_atom_site_type_symbol
_atom_site_fract_x
_atom_site_fract_y
_atom_site_fract_z
_atom_site_occupancy
Rb1 Rb 0.000 0.000 0.000 1
Rb2 Rb 0.031 0.463 0.474 1
H1 H 0.495 0.624 0.424 1
F1 F 0.024 0.966 0.500 1
F2 F 0.417 0.900 0.455 1
F3 F 0.549 0.433 0.439 1
F4 F 0.611 0.561 0.952 1
F5 F 0.975 0.512 0.977 1
```

=====

[5]
# La4Pm8Cd
Theoretical powder diffraction line list, copper Kα. Input: a crystal structure in Alexandria, relaxed with PBE.
Kinematic intensities with the Lorentz-polarization factor, no thermal factor.

Most intense lines, 10° ≤ 2θ ≤ 80°, in order of rising 2θ:
25.76°, intensity 22
28.42°, intensity 49
31.44°, intensity 37
31.68°, intensity 13
33.28°, intensity 100
41.08°, intensity 12
47.38°, intensity 16
57.15°, intensity 21
57.97°, intensity 18
58.73°, intensity 15

Atomic structure:
```
data_La4Pm8Cd
_chemical_formula_sum 'La4 Pm8 Cd1'
_symmetry_space_group_name_H-M 'P 1'
_symmetry_Int_Tables_number 1
_cell_length_a 6.752
_cell_length_b 6.752
_cell_length_c 11.299
_cell_angle_alpha 90.00
_cell_angle_beta 90.00
_cell_angle_gamma 114.90
loop_
_symmetry_equiv_pos_as_xyz
'x,y,z'
loop_
_atom_site_label
_atom_site_type_symbol
_atom_site_fract_x
_atom_site_fract_y
_atom_site_fract_z
_atom_site_occupancy
La1 La 0.000 0.000 0.000 1
La2 La 0.000 0.500 0.500 1
La3 La 0.500 0.000 0.500 1
La4 La 0.500 0.500 0.000 1
Pm1 Pm 0.244 0.756 0.191 1
Pm2 Pm 0.244 0.756 0.809 1
Pm3 Pm 0.264 0.264 0.284 1
Pm4 Pm 0.264 0.264 0.716 1
Pm5 Pm 0.736 0.736 0.284 1
Pm6 Pm 0.736 0.736 0.716 1
Pm7 Pm 0.756 0.244 0.191 1
Pm8 Pm 0.756 0.244 0.809 1
Cd1 Cd 0.000 0.000 0.500 1
```

=====

[6]
# Nd6InFe13
Theoretical powder diffraction line list, copper Kα. Input: a crystal structure in Alexandria, relaxed with PBE.
Kinematic intensities with the Lorentz-polarization factor, no thermal factor.

Most intense lines, 10° ≤ 2θ ≤ 80°, in order of rising 2θ:
27.24°, intensity 91
31.26°, intensity 84
31.42°, intensity 35
31.84°, intensity 44
34.29°, intensity 37
35.24°, intensity 100
37.86°, intensity 69
42.72°, intensity 59
46.66°, intensity 45
57.80°, intensity 35

Atomic structure:
```
data_Nd6InFe13
_chemical_formula_sum 'Nd12 In2 Fe26'
_symmetry_space_group_name_H-M 'P 1'
_symmetry_Int_Tables_number 1
_cell_length_a 13.079
_cell_length_b 13.079
_cell_length_c 13.079
_cell_angle_alpha 144.14
_cell_angle_beta 144.14
_cell_angle_gamma 51.62
loop_
_symmetry_equiv_pos_as_xyz
'x,y,z'
loop_
_atom_site_label
_atom_site_type_symbol
_atom_site_fract_x
_atom_site_fract_y
_atom_site_fract_z
_atom_site_occupancy
Nd1 Nd 0.020 0.520 0.172 1
Nd2 Nd 0.104 0.104 0.000 1
Nd3 Nd 0.152 0.980 0.500 1
Nd4 Nd 0.348 0.848 0.828 1
Nd5 Nd 0.396 0.396 0.000 1
Nd6 Nd 0.480 0.652 0.500 1
Nd7 Nd 0.520 0.348 0.500 1
Nd8 Nd 0.604 0.604 0.000 1
Nd9 Nd 0.652 0.152 0.172 1
Nd10 Nd 0.848 0.020 0.500 1
Nd11 Nd 0.896 0.896 0.000 1
Nd12 Nd 0.980 0.480 0.828 1
In1 In 0.250 0.250 0.000 1
In2 In 0.750 0.750 0.000 1
Fe1 Fe 0.000 0.500 0.500 1
Fe2 Fe 0.020 0.294 0.500 1
Fe3 Fe 0.066 0.210 0.276 1
Fe4 Fe 0.121 0.621 0.858 1
Fe5 Fe 0.206 0.480 0.500 1
Fe6 Fe 0.210 0.934 0.144 1
Fe7 Fe 0.237 0.737 0.858 1
Fe8 Fe 0.263 0.121 0.500 1
Fe9 Fe 0.290 0.434 0.724 1
Fe10 Fe 0.294 0.794 0.274 1
Fe11 Fe 0.379 0.237 0.500 1
Fe12 Fe 0.434 0.710 0.144 1
Fe13 Fe 0.480 0.980 0.274 1
Fe14 Fe 0.500 0.000 0.500 1
Fe15 Fe 0.520 0.020 0.726 1
Fe16 Fe 0.566 0.290 0.856 1
Fe17 Fe 0.621 0.763 0.500 1
Fe18 Fe 0.706 0.206 0.726 1
Fe19 Fe 0.710 0.566 0.276 1
Fe20 Fe 0.737 0.879 0.500 1
Fe21 Fe 0.763 0.263 0.142 1
Fe22 Fe 0.790 0.066 0.856 1
Fe23 Fe 0.794 0.520 0.500 1
Fe24 Fe 0.879 0.379 0.142 1
Fe25 Fe 0.934 0.790 0.724 1
Fe26 Fe 0.980 0.706 0.500 1
```

=====

[7]
# Ac2Pr3Cd3
Theoretical powder diffraction line list, copper Kα. Input: a crystal structure in Alexandria, relaxed with PBE.
Kinematic intensities with the Lorentz-polarization factor, no thermal factor.

Most intense lines, 10° ≤ 2θ ≤ 80°, in order of rising 2θ:
30.50°, intensity 17
31.28°, intensity 100
31.43°, intensity 28
44.37°, intensity 12
45.27°, intensity 10
55.59°, intensity 8
55.86°, intensity 23
56.15°, intensity 11
65.25°, intensity 8
74.81°, intensity 8

Atomic structure:
```
data_Ac2Pr3Cd3
_chemical_formula_sum 'Ac4 Pr6 Cd6'
_symmetry_space_group_name_H-M 'P 1'
_symmetry_Int_Tables_number 1
_cell_length_a 4.006
_cell_length_b 5.693
_cell_length_c 23.446
_cell_angle_alpha 90.00
_cell_angle_beta 90.00
_cell_angle_gamma 90.00
loop_
_symmetry_equiv_pos_as_xyz
'x,y,z'
loop_
_atom_site_label
_atom_site_type_symbol
_atom_site_fract_x
_atom_site_fract_y
_atom_site_fract_z
_atom_site_occupancy
Ac1 Ac 0.000 0.000 0.229 1
Ac2 Ac 0.000 0.000 0.771 1
Ac3 Ac 0.500 0.500 0.271 1
Ac4 Ac 0.500 0.500 0.729 1
Pr1 Pr 0.000 0.000 0.000 1
Pr2 Pr 0.000 0.500 0.117 1
Pr3 Pr 0.000 0.500 0.883 1
Pr4 Pr 0.500 0.000 0.383 1
Pr5 Pr 0.500 0.000 0.617 1
Pr6 Pr 0.500 0.500 0.500 1
Cd1 Cd 0.000 0.000 0.500 1
Cd2 Cd 0.000 0.500 0.389 1
Cd3 Cd 0.000 0.500 0.611 1
Cd4 Cd 0.500 0.000 0.111 1
Cd5 Cd 0.500 0.000 0.889 1
Cd6 Cd 0.500 0.500 0.000 1
```

=====

[8]
# NbPH2
Theoretical powder diffraction line list, copper Kα. Input: a crystal structure in Alexandria, relaxed with PBE.
Kinematic intensities with the Lorentz-polarization factor, no thermal factor.

Most intense lines, 10° ≤ 2θ ≤ 80°, in order of rising 2θ:
22.62°, intensity 42
35.54°, intensity 100
37.51°, intensity 11
40.78°, intensity 32
42.25°, intensity 15
47.13°, intensity 12
59.03°, intensity 11
60.16°, intensity 21
70.84°, intensity 25
72.89°, intensity 11

Atomic structure:
```
data_NbPH2
_chemical_formula_sum 'Nb4 P4 H8'
_symmetry_space_group_name_H-M 'P 1'
_symmetry_Int_Tables_number 1
_cell_length_a 4.426
_cell_length_b 4.426
_cell_length_c 8.557
_cell_angle_alpha 90.00
_cell_angle_beta 90.00
_cell_angle_gamma 90.00
loop_
_symmetry_equiv_pos_as_xyz
'x,y,z'
loop_
_atom_site_label
_atom_site_type_symbol
_atom_site_fract_x
_atom_site_fract_y
_atom_site_fract_z
_atom_site_occupancy
Nb1 Nb 0.000 0.000 0.000 1
Nb2 Nb 0.000 0.500 0.250 1
Nb3 Nb 0.500 0.000 0.750 1
Nb4 Nb 0.500 0.500 0.500 1
P1 P 0.000 0.000 0.500 1
P2 P 0.000 0.500 0.750 1
P3 P 0.500 0.000 0.250 1
P4 P 0.500 0.500 0.000 1
H1 H 0.219 0.250 0.125 1
H2 H 0.250 0.719 0.375 1
H3 H 0.250 0.781 0.875 1
H4 H 0.281 0.250 0.625 1
H5 H 0.719 0.750 0.625 1
H6 H 0.750 0.219 0.875 1
H7 H 0.750 0.281 0.375 1
H8 H 0.781 0.750 0.125 1
```